(1)
Starting from a DFT-relaxed cell (PBE, Alexandria), the powder XRD pattern of NpTlAg2O8 was calculated for Cu Kα, 1.54184 Å.

Peak list (12 most intense, 10° ≤ 2θ ≤ 90°, by intensity)
d [Å], 2θ (°), I/Imax
2.973, 30.06, 100
3.406, 26.16, 87
1.872, 48.65, 66
5.060, 17.53, 26
2.409, 37.33, 24
1.652, 55.63, 21
1.478, 62.89, 18
1.260, 75.47, 15
1.523, 60.80, 14
1.703, 53.83, 14
1.186, 81.09, 13
1.116, 87.37, 12

Cell and atoms:
Lattice parameters (Å, degrees): 6.123 6.123 6.123 112.39 112.39 103.78
Element x y z (fractional)
Np (0.000, 0.000, 0.000)
Tl (0.250, 0.750, 0.500)
Ag (0.500, 0.500, 0.000)
Ag (0.750, 0.250, 0.500)
O (0.282, 0.109, 0.828)
O (0.282, 0.454, 0.172)
O (0.310, 0.025, 0.285)
O (0.546, 0.718, 0.828)
O (0.740, 0.025, 0.715)
O (0.891, 0.718, 0.172)
O (0.975, 0.260, 0.285)
O (0.975, 0.690, 0.715)

=====

(2)
Starting from a DFT-relaxed cell (PBE, Alexandria), the powder XRD pattern of NpTlAg2O5 was calculated for Cu Kα, 1.54184 Å.

Peak list (12 most intense, 10° ≤ 2θ ≤ 90°, by intensity)
d [Å], 2θ (°), I/Imax
3.004, 29.74, 100
3.121, 28.61, 26
1.778, 51.38, 22
2.040, 44.42, 21
2.696, 33.23, 21
5.392, 16.44, 16
1.502, 61.77, 16
2.219, 40.65, 15
1.609, 57.25, 14
1.714, 53.47, 11
1.809, 50.46, 11
1.391, 67.32, 10

Cell and atoms:
Lattice parameters (Å, degrees): 6.612 6.612 6.612 140.77 123.67 70.79
Element x y z (fractional)
Np (0.000, 0.000, 0.000)
Tl (0.500, 0.500, 0.000)
Ag (0.231, 0.731, 0.500)
Ag (0.769, 0.269, 0.500)
O (0.000, 0.500, 0.500)
O (0.093, 0.871, 0.222)
O (0.351, 0.129, 0.222)
O (0.649, 0.871, 0.778)
O (0.907, 0.129, 0.778)